This entry pairs a crystal structure of CoCu3P4O16 with its simulated powder diffraction line list. Radiation: Cu Kα X-rays. Structure: a PBE+U-relaxed structure.

Cell and atoms:
Cell: 5.1488 5.9850 10.0858 Å, 90.00 93.42 90.00°
Space group Pm (No. 6)
Asymmetric unit:
Co: 0.0000 0.0000 0.0000 (multiplicity 1)
Cu: 0.1857 0.5000 0.6091 (multiplicity 1)
Cu: 0.4042 0.5000 0.1076 (multiplicity 1)
Cu: 0.6918 0.0000 0.4821 (multiplicity 1)
P: 0.1380 0.0000 0.6895 (multiplicity 1)
P: 0.4999 0.0000 0.1843 (multiplicity 1)
P: 0.6033 0.5000 0.4104 (multiplicity 1)
P: 0.9891 0.5000 0.8978 (multiplicity 1)
O: 0.1944 0.0000 0.8404 (multiplicity 1)
O: 0.2778 0.1997 0.6243 (multiplicity 2)
O: 0.2873 0.5000 0.9319 (multiplicity 1)
O: 0.3121 0.5000 0.4383 (multiplicity 1)
O: 0.3291 0.1921 0.1151 (multiplicity 2)
O: 0.4578 0.0000 0.3352 (multiplicity 1)
O: 0.6234 0.5000 0.2579 (multiplicity 1)
O: 0.7627 0.3027 0.4736 (multiplicity 2)
O: 0.7867 0.0000 0.1590 (multiplicity 1)
O: 0.8404 0.0000 0.6569 (multiplicity 1)
O: 0.8576 0.2910 0.9566 (multiplicity 2)
O: 0.9553 0.5000 0.7442 (multiplicity 1)

Main lines, sorted by position (2θ from 10° to 90°):
hkl 0 0 2, 17.6 deg, I = 65; hkl 1 0 -1, 18.9 deg, I = 100; hkl 1 0 1, 19.9 deg, I = 51; hkl 1 0 -2, 24.0 deg, I = 36; hkl 1 1 1, 24.9 deg, I = 25; hkl 1 1 2, 29.6 deg, I = 26; hkl 0 2 0, 29.9 deg, I = 76; hkl 2 0 -1, 35.6 deg, I = 53; hkl 1 1 3, 36.1 deg, I = 32; hkl 1 0 -4, 38.9 deg, I = 35